LaWClO4: calculated powder X-ray diffraction pattern (Cu Ka), based on the GGA+U geometry in Alexandria.

Top 8 peaks for 2θ from 10° to 90°, in order of rising 2θ:
| d/Å | 2theta | I/Imax |
| --- | --- | --- |
| 5.139 | 17.26 | 311 |
| 3.845 | 23.13 | 1000 |
| 3.641 | 24.45 | 561 |
| 3.262 | 27.34 | 540 |
| 3.189 | 27.98 | 540 |
| 2.705 | 33.12 | 386 |
| 2.644 | 33.91 | 323 |
| 2.070 | 43.74 | 476 |

Crystal structure
```
data_LaWClO4
_space_group_name_H-M_alt 'C 1 2/m 1'
_space_group_IT_number 12
_cell_length_a 10.7486
_cell_length_b 7.6896
_cell_length_c 7.2104
_cell_angle_alpha 90.00
_cell_angle_beta 107.03
_cell_angle_gamma 90.00
loop_
_space_group_symop_operation_xyz
'x,y,z'
'-x,-y,-z'
'-x,y,-z'
'x,-y,z'
'x+1/2,y+1/2,z'
'-x+1/2,-y+1/2,-z'
'-x+1/2,y+1/2,-z'
'x+1/2,-y+1/2,z'
loop_
_atom_site_label
_atom_site_type_symbol
_atom_site_fract_x
_atom_site_fract_y
_atom_site_fract_z
La1 La 0.2230 0.0000 0.1232
W1 W 0.1367 0.5000 0.2644
Cl1 Cl 0.0134 0.0000 0.7676
O1 O 0.0387 0.5000 0.7998
O2 O 0.1958 0.3152 0.1539
O3 O 0.2039 0.5000 0.5242
```